Structure and calculated powder diffraction line list of K2Cr4CdO16 (a cell relaxed with GGA+U; a wavelength of 1.5418 Å).

Main lines, in order of falling intensity (10° ≤ 2θ ≤ 90°):
- 2θ 23.9, I = 1000, (1 0 2)
- 2θ 25.0, I = 486, (-1 1 1)
- 2θ 28.0, I = 372, (0 2 1)
- 2θ 26.1, I = 324, (1 2 1)
- 2θ 10.5, I = 281, (0 0 1)
- 2θ 15.5, I = 249, (1 1 0)
- 2θ 26.6, I = 243, (1 0 -2)
- 2θ 18.3, I = 241, (1 0 -1)

Crystal structure
```
K2Cr4CdO16
1.0
6.899 0.000 0.000
2.615 6.690 0.000
1.297 0.668 8.445
K Cr Cd O
2 4 1 16
Cartesian
2.392 1.624 1.221 K
8.418 5.734 7.224 K
2.411 0.764 5.319 Cr
3.616 4.929 1.186 Cr
7.194 2.428 7.260 Cr
8.399 6.594 3.127 Cr
5.405 3.679 4.223 Cd
2.866 6.327 2.020 O
2.543 4.236 0.183 O
2.319 1.774 4.024 O
3.495 3.144 5.400 O
4.918 5.904 4.817 O
4.119 3.806 2.292 O
4.865 5.531 0.343 O
3.846 1.004 6.079 O
6.964 6.353 2.367 O
5.945 1.826 8.102 O
6.691 3.551 6.153 O
5.892 1.454 3.629 O
7.315 4.213 3.045 O
8.491 5.583 4.421 O
8.267 3.122 8.263 O
7.944 1.030 6.425 O
```